(1)
LiVP2O7: theoretical PXRD pattern (Cu Kα (λ = 1.5418 Å)), based on a structure optimized by DFT (PBE+U).
Kinematic intensities with the Lorentz-polarization factor, no thermal factor.

Crystal structure
```
data_LiVP2O7
_cell_length_a 9.762
_cell_length_b 8.289
_cell_length_c 13.384
_cell_angle_alpha 90.00
_cell_angle_beta 109.86
_cell_angle_gamma 90.00
_space_group_name_H-M_alt 'C 1 2/c 1'
_space_group_IT_number 15
_space_group_name_Hall '-C 2yc'
loop_
_atom_site_label
_atom_site_type_symbol
_atom_site_fract_x
_atom_site_fract_y
_atom_site_fract_z
Li1 Li 0.130 0.106 0.153
V1 V 0.137 0.265 0.640
P1 P 0.130 0.460 0.430
P2 P 0.169 0.078 0.862
O1 O 0.004 0.451 0.641
O2 O 0.022 0.088 0.879
O3 O 0.093 0.308 0.482
O4 O 0.184 0.086 0.313
O5 O 0.203 0.221 0.801
O6 O 0.206 0.410 0.023
O7 O 0.242 0.428 0.376
```

Top 12 peaks for 10° ≤ 2θ ≤ 80°, sorted by position:
17.4°, 5.089 Å, I = 100, (1 1 1); 17.7°, 5.006 Å, I = 36, (1 1 -2); 19.3°, 4.591 Å, I = 22, (2 0 0); 28.4°, 3.147 Å, I = 47, (0 0 4); 29.3°, 3.052 Å, I = 79, (2 2 -2); 29.6°, 3.015 Å, I = 36, (3 1 -1); 29.8°, 2.998 Å, I = 18, (3 1 -2); 30.3°, 2.949 Å, I = 18, (0 2 3); 31.5°, 2.843 Å, I = 18, (2 2 1); 34.9°, 2.571 Å, I = 24, (1 1 4); 35.3°, 2.543 Å, I = 29, (2 2 2); 43.1°, 2.101 Å, I = 25, (3 3 -1)

=====

(2)
Li2VP5O15: theoretical PXRD pattern (Cu Kα (λ = 1.5418 Å)), based on a structure optimized by DFT (PBE+U).
Kinematic intensities with the Lorentz-polarization factor, no thermal factor.

Crystal structure
```
data_Li2VP5O15
_cell_length_a 5.248
_cell_length_b 14.275
_cell_length_c 8.277
_cell_angle_alpha 90.00
_cell_angle_beta 99.77
_cell_angle_gamma 90.00
_space_group_name_H-M_alt 'P 1 21/m 1'
_space_group_IT_number 11
_space_group_name_Hall '-P 2yb'
loop_
_atom_site_label
_atom_site_type_symbol
_atom_site_fract_x
_atom_site_fract_y
_atom_site_fract_z
Li1 Li 0.180 0.147 0.151
V1 V 0.500 0.000 0.500
P1 P 0.017 0.144 0.520
P2 P 0.356 0.091 0.833
P3 P 0.367 0.750 0.986
O1 O 0.005 0.250 0.457
O2 O 0.087 0.750 0.910
O3 O 0.155 0.155 0.705
O4 O 0.184 0.092 0.417
O5 O 0.228 0.065 0.972
O6 O 0.257 0.611 0.486
O7 O 0.409 0.663 0.115
O8 O 0.433 0.250 0.123
O9 O 0.457 0.016 0.732
```

Top 12 peaks for 10° ≤ 2θ ≤ 80°, sorted by position:
10.8°, 8.157 Å, I = 41, (0 0 1); 12.5°, 7.088 Å, I = 57, (0 1 1); 16.5°, 5.371 Å, I = 66, (0 2 1); 18.7°, 4.748 Å, I = 100, (1 0 -1); 21.2°, 4.188 Å, I = 62, (1 2 0); 21.6°, 4.110 Å, I = 57, (0 3 1); 21.8°, 4.078 Å, I = 84, (0 0 2); 22.5°, 3.953 Å, I = 45, (1 2 -1); 25.2°, 3.534 Å, I = 71, (1 2 1); 25.4°, 3.502 Å, I = 62, (1 3 0); 26.2°, 3.404 Å, I = 42, (1 1 -2); 28.9°, 3.094 Å, I = 79, (1 3 1)

=====

(3)
Li2VP2O8: theoretical PXRD pattern (Cu Kα (λ = 1.5418 Å)), based on a structure optimized by DFT (PBE+U).
Kinematic intensities with the Lorentz-polarization factor, no thermal factor.

Crystal structure
```
data_Li2VP2O8
_cell_length_a 5.780
_cell_length_b 4.901
_cell_length_c 9.928
_cell_angle_alpha 90.00
_cell_angle_beta 90.00
_cell_angle_gamma 90.00
_space_group_name_H-M_alt 'P m c 21'
_space_group_IT_number 26
_space_group_name_Hall 'P 2c -2'
loop_
_atom_site_label
_atom_site_type_symbol
_atom_site_fract_x
_atom_site_fract_y
_atom_site_fract_z
Li1 Li 0.000 0.190 0.000
Li2 Li 0.000 0.231 0.671
V1 V 0.500 0.307 0.209
P1 P 0.000 0.315 0.345
P2 P 0.500 0.118 0.527
O1 O 0.000 0.009 0.331
O2 O 0.000 0.420 0.488
O3 O 0.212 0.452 0.266
O4 O 0.295 0.040 0.096
O5 O 0.500 0.076 0.373
O6 O 0.500 0.424 0.561
```

Top 12 peaks for 10° ≤ 2θ ≤ 80°, sorted by position:
15.3°, 5.780 Å, I = 20, (1 0 0); 20.2°, 4.395 Å, I = 100, (0 1 1); 23.6°, 3.766 Å, I = 58, (1 0 2); 25.5°, 3.491 Å, I = 27, (0 1 2); 29.9°, 2.986 Å, I = 17, (1 1 2); 30.9°, 2.890 Å, I = 35, (2 0 0); 36.2°, 2.478 Å, I = 50, (1 1 3); 37.2°, 2.415 Å, I = 23, (2 1 1); 40.5°, 2.225 Å, I = 14, (2 1 2); 41.0°, 2.200 Å, I = 15, (1 2 1); 58.6°, 1.576 Å, I = 11, (3 1 3); 64.9°, 1.436 Å, I = 12, (2 0 6)

=====

(4)
Li2VP2O8: theoretical PXRD pattern (Cu Kα (λ = 1.5418 Å)), based on a structure optimized by DFT (PBE+U).
Kinematic intensities with the Lorentz-polarization factor, no thermal factor.

Crystal structure
```
data_Li2VP2O8
_cell_length_a 8.050
_cell_length_b 5.337
_cell_length_c 6.527
_cell_angle_alpha 90.00
_cell_angle_beta 92.61
_cell_angle_gamma 90.00
_space_group_name_H-M_alt 'C 1 m 1'
_space_group_IT_number 8
_space_group_name_Hall 'C -2y'
loop_
_atom_site_label
_atom_site_type_symbol
_atom_site_fract_x
_atom_site_fract_y
_atom_site_fract_z
Li1 Li 0.000 0.000 0.000
Li2 Li 0.174 0.500 0.241
V1 V 0.499 0.500 0.536
P1 P 0.148 0.500 0.759
P2 P 0.337 0.000 0.300
O1 O 0.034 0.261 0.742
O2 O 0.229 0.000 0.494
O3 O 0.230 0.000 0.107
O4 O 0.248 0.500 0.961
O5 O 0.259 0.500 0.567
O6 O 0.456 0.235 0.315
```

Top 12 peaks for 10° ≤ 2θ ≤ 80°, sorted by position:
13.6°, 6.521 Å, I = 81, (0 0 1); 24.5°, 3.631 Å, I = 100, (1 1 1); 25.5°, 3.494 Å, I = 66, (2 0 -1); 33.6°, 2.665 Å, I = 54, (0 2 0); 34.5°, 2.598 Å, I = 32, (1 1 2); 37.6°, 2.395 Å, I = 24, (3 1 0); 40.6°, 2.223 Å, I = 19, (2 2 0); 43.8°, 2.065 Å, I = 13, (0 2 2); 54.8°, 1.674 Å, I = 8, (1 3 1); 65.8°, 1.420 Å, I = 15, (4 2 2); 70.6°, 1.334 Å, I = 8, (0 4 0); 71.8°, 1.315 Å, I = 9, (4 2 -3)